Diffraction record for KNaV6Pb8O24. The powder diffraction line list is simulated, not measured: it uses a GGA+U-relaxed structure and λ = 1.5418 Å (Cu Kα).
Neutral-atom scattering factors, no anomalous dispersion.

Structure:
a b c (Å): 10.3093 10.3093 7.5189
angles (deg): 90.00 90.00 120.00
Space group P3 (No. 143)
Unique sites:
K (0.0000, 0.0000, 0.0000) [1 per cell]
Na (0.6667, 0.3333, 0.5194) [1 per cell]
V (0.3217, 0.0434, 0.7633) [3 per cell]
V (0.3525, 0.2923, 0.2815) [3 per cell]
Pb (0.0000, 0.0000, 0.4915) [1 per cell]
Pb (0.0718, 0.4092, 0.2822) [3 per cell]
Pb (0.0757, 0.6681, 0.7625) [3 per cell]
Pb (0.6667, 0.3333, 0.9874) [1 per cell]
O (0.0184, 0.5887, 0.4473) [3 per cell]
O (0.0322, 0.8432, 0.2814) [3 per cell]
O (0.0620, 0.3154, 0.9526) [3 per cell]
O (0.0895, 0.3456, 0.5924) [3 per cell]
O (0.2402, 0.1585, 0.7389) [3 per cell]
O (0.4211, 0.3906, 0.0857) [3 per cell]
O (0.4338, 0.1790, 0.3148) [3 per cell]
O (0.5181, 0.1471, 0.7673) [3 per cell]

Most intense lines, 2θ = 10–90°, by angle:
2θ = 15.41°, I = 22.2; 2θ = 20.89°, I = 40.1; 2θ = 23.67°, I = 22.4; 2θ = 26.41°, I = 24.3; 2θ = 29.00°, I = 100.0; 2θ = 29.41°, I = 56.5; 2θ = 30.03°, I = 41.8; 2θ = 45.06°, I = 33.0; 2θ = 45.92°, I = 32.0; 2θ = 47.37°, I = 29.6